Structure and calculated X-ray diffraction stick pattern of Li3V2P3O12 (the PBE+U geometry in Alexandria; Cu Kα (weighted mean of Kα1 and Kα2)).
No peak broadening, texture or thermal motion is included.

Structural model:
```
Li3V2P3O12
1.0
7.4809 -4.3837 0.0000
7.4809 4.3837 0.0000
-4.7257 0.0000 7.2152
Li V P O
6 4 6 24
Direct
0.1387 0.8613 0.7500
0.1906 0.4370 0.6967
0.4370 0.1906 0.1967
0.5630 0.8094 0.8033
0.8094 0.5630 0.3033
0.8613 0.1387 0.2500
0.1397 0.6452 0.3599
0.3548 0.8603 0.1401
0.6452 0.1397 0.8599
0.8603 0.3548 0.6401
0.0237 0.2540 0.0457
0.2540 0.0237 0.5457
0.4550 0.5450 0.7500
0.5450 0.4550 0.2500
0.7460 0.9763 0.4543
0.9763 0.7460 0.9543
0.0296 0.4375 0.2082
0.0314 0.7328 0.1449
0.1051 0.2224 0.5783
0.1201 0.7988 0.9476
0.2012 0.8799 0.5524
0.2224 0.1051 0.0783
0.2597 0.5648 0.5966
0.2672 0.9686 0.3551
0.3896 0.4847 0.3118
0.4352 0.7403 0.9034
0.4375 0.0296 0.7082
0.4847 0.3896 0.8118
0.5153 0.6104 0.1882
0.5625 0.9704 0.2918
0.5648 0.2597 0.0966
0.6104 0.5153 0.6882
0.7328 0.0314 0.6449
0.7403 0.4352 0.4034
0.7776 0.8949 0.9217
0.7988 0.1201 0.4476
0.8799 0.2012 0.0524
0.8949 0.7776 0.4217
0.9686 0.2672 0.8551
0.9704 0.5625 0.7918
```

Most intense lines, 2θ = 10–80°, low angle first:
| 2θ/deg | d [Å] | I (rel.) |
| --- | --- | --- |
| 14.15 | 6.258 | 24 |
| 20.50 | 4.333 | 31 |
| 20.61 | 4.310 | 27 |
| 23.62 | 3.767 | 38 |
| 23.91 | 3.722 | 100 |
| 29.05 | 3.073 | 30 |